This entry pairs a crystal structure of LaHo3S6 with its calculated X-ray powder pattern. Radiation: Cu Kα (weighted mean of Kα1 and Kα2). Structure: a PBE-relaxed structure.
Lines closer than 0.1° are merged.

Structure:
abc: 11.1396 4.0135 11.3505
angles: 90.00 108.98 90.00
Positions (direct):
La1 0.0506 0.2500 0.1949
La2 0.9494 0.7500 0.8051
Ho1 0.1610 0.2500 0.5873
Ho2 0.3210 0.7500 0.0001
Ho3 0.4438 0.2500 0.3340
Ho4 0.5562 0.7500 0.6660
Ho5 0.6790 0.2500 0.9999
Ho6 0.8390 0.7500 0.4127
S1 0.0810 0.7500 0.4066
S2 0.1203 0.2500 0.9633
S3 0.1970 0.7500 0.7486
S4 0.2689 0.7500 0.2306
S5 0.3927 0.2500 0.5574
S6 0.4787 0.2500 0.1115
S7 0.5213 0.7500 0.8885
S8 0.6073 0.7500 0.4426
S9 0.7311 0.2500 0.7694
S10 0.8030 0.2500 0.2514
S11 0.8797 0.7500 0.0367
S12 0.9190 0.2500 0.5934

Top 12 peaks for 10° ≤ 2θ ≤ 90°, low angle first:
2θ/deg	d (Å)	Rel. int.
16.16	5.486	27
23.52	3.783	76
23.97	3.713	100
26.06	3.419	68
27.35	3.261	93
30.75	2.907	72
33.92	2.643	49
41.93	2.155	63
43.69	2.072	39
45.19	2.006	50
46.07	1.970	33
46.55	1.951	27

This entry pairs a crystal structure of La4Ho11S22 with its calculated X-ray powder pattern. Radiation: Cu Kα (weighted mean of Kα1 and Kα2). Structure: a PBE-relaxed structure.
Lines closer than 0.1° are merged.

Structure:
abc: 19.7814 19.7814 11.4031
angles: 91.44 91.44 11.54
Positions (direct):
La1 0.1041 0.1041 0.0120
La2 0.3671 0.3671 0.3471
La3 0.6329 0.6329 0.6529
La4 0.8959 0.8959 0.9880
Ho1 0.0000 0.0000 0.0000
Ho2 0.0693 0.0693 0.3604
Ho3 0.2021 0.2021 0.9420
Ho4 0.2639 0.2639 0.3519
Ho5 0.3423 0.3423 0.6985
Ho6 0.4620 0.4620 0.2712
Ho7 0.5380 0.5380 0.7288
Ho8 0.6577 0.6577 0.3015
Ho9 0.7361 0.7361 0.6481
Ho10 0.7979 0.7979 0.0580
Ho11 0.9307 0.9307 0.6396
S1 0.0077 0.0077 0.2389
S2 0.0872 0.0872 0.7517
S3 0.1344 0.1344 0.4529
S4 0.1685 0.1685 0.1519
S5 0.1890 0.1890 0.6919
S6 0.2553 0.2553 0.1189
S7 0.2799 0.2799 0.5901
S8 0.3505 0.3505 0.0912
S9 0.4071 0.4071 0.7873
S10 0.4457 0.4457 0.4954
S11 0.4533 0.4533 0.0315
S12 0.5467 0.5467 0.9685
S13 0.5543 0.5543 0.5046
S14 0.5929 0.5929 0.2127
S15 0.6495 0.6495 0.9088
S16 0.7201 0.7201 0.4099
S17 0.7447 0.7447 0.8811
S18 0.8110 0.8110 0.3081
S19 0.8315 0.8315 0.8481
S20 0.8656 0.8656 0.5471
S21 0.9128 0.9128 0.2483
S22 0.9923 0.9923 0.7611

Top 12 peaks for 10° ≤ 2θ ≤ 90°, low angle first:
2θ/deg	d (Å)	Rel. int.
15.76	5.624	28
23.41	3.800	80
24.11	3.691	100
26.21	3.401	61
27.21	3.277	46
27.46	3.248	64
31.27	2.861	63
33.70	2.660	57
36.12	2.487	29
41.82	2.160	56
43.85	2.065	37
45.61	1.989	44